# 1
Structure and simulated PXRD pattern of Mg2NiI6 (a DFT-relaxed cell (GGA-PBE, Alexandria); CuKα).

Largest 6 diffraction maxima, by angle, 5 to 70 degrees two-theta:
11.6 deg, intensity 28, (0 0 1); 23.4 deg, intensity 20, (0 0 2); 27.6 deg, intensity 100, (2 -1 1); 34.5 deg, intensity 40, (2 -1 2); 43.8 deg, intensity 26, (1 1 3); 43.9 deg, intensity 25, (3 0 0)

Cell and atoms:
a b c (Å): 7.1413 7.1413 7.6068
angles (deg): 90.00 90.00 120.00
Space group P-31m (No. 162)
Unique sites:
Mg: 0.3333 0.6667 0.0000 (multiplicity 2)
Ni: 0.0000 0.0000 0.0000 (multiplicity 1)
I: 0.0000 0.3169 0.2130 (multiplicity 6)

---

# 2
Structure and simulated PXRD pattern of MgPtIO6 (a DFT-relaxed cell (GGA-PBE, Alexandria); CuKα).

Largest 6 diffraction maxima, by angle, 5 to 70 degrees two-theta:
19.4 deg, intensity 59, (1 0 0); 19.5 deg, intensity 91, (0 0 2); 27.7 deg, intensity 91, (1 0 2); 33.9 deg, intensity 66, (1 1 0); 39.4 deg, intensity 100, (1 1 2); 53.2 deg, intensity 64, (1 1 4)

Cell and atoms:
a b c (Å): 5.2849 5.2849 9.0845
angles (deg): 90.00 90.00 120.00
Space group P-31c (No. 163)
Unique sites:
Mg: 0.0000 0.0000 0.0000 (multiplicity 2)
Pt: 0.3333 0.6667 0.2500 (multiplicity 2)
I: 0.3333 0.6667 0.7500 (multiplicity 2)
O: 0.0026 0.3491 0.1307 (multiplicity 12)

---

# 3
Structure and simulated PXRD pattern of MgPtI2O (a DFT-relaxed cell (GGA-PBE, Alexandria); CuKα).

Largest 6 diffraction maxima, by angle, 5 to 70 degrees two-theta:
15.5 deg, intensity 76, (1 0 0); 23.0 deg, intensity 74, (0 0 1); 27.9 deg, intensity 46, (1 0 1); 31.4 deg, intensity 100, (2 0 0); 39.2 deg, intensity 74, (2 0 1); 45.0 deg, intensity 37, (2 2 0)

Cell and atoms:
a b c (Å): 5.7024 5.7024 3.8699
angles (deg): 90.00 90.00 90.00
Space group P4/mmm (No. 123)
Unique sites:
Mg: 0.0000 0.0000 0.0000 (multiplicity 1)
Pt: 0.5000 0.5000 0.5000 (multiplicity 1)
I: 0.0000 0.5000 0.5000 (multiplicity 2)
O: 0.5000 0.5000 0.0000 (multiplicity 1)

---

# 4
Structure and simulated PXRD pattern of Mg5PbI12 (a DFT-relaxed cell (GGA-PBE, Alexandria); CuKα).

Largest 6 diffraction maxima, by angle, 5 to 70 degrees two-theta:
11.4 deg, intensity 43, (0 0 2); 24.6 deg, intensity 30, (2 0 -1); 26.6 deg, intensity 100, (1 3 2); 29.6 deg, intensity 52, (2 0 -3); 37.8 deg, intensity 28, (1 3 -5); 42.5 deg, intensity 56, (3 3 -1)

Cell and atoms:
a b c (Å): 7.4321 12.8818 15.5205
angles (deg): 90.00 90.10 90.00
Space group C2/m (No. 12)
Unique sites:
Mg: 0.0000 0.0000 0.0000 (multiplicity 2)
Mg: 0.0000 0.1667 0.5000 (multiplicity 4)
Mg: 0.0000 0.3334 0.0000 (multiplicity 4)
Pb: 0.0000 0.5000 0.5000 (multiplicity 2)
I: 0.1374 0.0000 0.6130 (multiplicity 4)
I: 0.1663 0.1666 0.8942 (multiplicity 8)
I: 0.1661 0.5000 0.8939 (multiplicity 4)
I: 0.1818 0.3185 0.6129 (multiplicity 8)

---

# 5
Structure and simulated PXRD pattern of MgPdI (a DFT-relaxed cell (GGA-PBE, Alexandria); CuKα).

Largest 6 diffraction maxima, by angle, 5 to 70 degrees two-theta:
25.9 deg, intensity 23, (0 0 2); 26.0 deg, intensity 79, (0 1 1); 36.2 deg, intensity 64, (3 0 2); 36.3 deg, intensity 100, (3 1 1); 45.7 deg, intensity 35, (0 1 3); 59.8 deg, intensity 29, (3 2 2)

Cell and atoms:
a b c (Å): 10.7467 3.9484 6.8930
angles (deg): 90.00 90.00 90.00
Space group Amm2 (No. 38)
Unique sites:
Mg: 0.1399 0.0000 0.0000 (multiplicity 4)
Pd: 0.0000 0.0000 0.3342 (multiplicity 2)
Pd: 0.5000 0.0000 0.0414 (multiplicity 2)
I: 0.3165 0.0000 0.3309 (multiplicity 4)

---

# 6
Structure and simulated PXRD pattern of Pm2MgI8 (a DFT-relaxed cell (GGA-PBE, Alexandria); CuKα).

Largest 6 diffraction maxima, by angle, 5 to 70 degrees two-theta:
11.7 deg, intensity 86, (1 1 0); 20.7 deg, intensity 48, (4 0 -1); 23.5 deg, intensity 70, (2 2 0); 25.9 deg, intensity 31, (1 1 -2); 26.9 deg, intensity 100, (2 2 1); 34.4 deg, intensity 52, (7 1 0)

Cell and atoms:
a b c (Å): 19.3416 8.2203 7.6014
angles (deg): 90.00 96.84 90.00
Space group C2/m (No. 12)
Unique sites:
Pm: 0.1459 0.0000 0.4518 (multiplicity 4)
Mg: 0.0000 0.0000 0.0000 (multiplicity 2)
I: 0.0579 0.2525 0.2467 (multiplicity 8)
I: 0.1375 0.0000 0.8423 (multiplicity 4)
I: 0.2084 0.5000 0.6210 (multiplicity 4)

---

# 7
Structure and simulated PXRD pattern of Rb2MgI (a DFT-relaxed cell (GGA-PBE, Alexandria); CuKα).

Largest 6 diffraction maxima, by angle, 5 to 70 degrees two-theta:
12.8 deg, intensity 53, (1 0 1); 22.6 deg, intensity 100, (1 1 2); 24.7 deg, intensity 75, (2 2 0); 33.8 deg, intensity 65, (3 1 2); 42.4 deg, intensity 52, (2 0 4); 56.3 deg, intensity 38, (4 2 4)

Cell and atoms:
a b c (Å): 10.1773 10.1773 9.3984
angles (deg): 90.00 90.00 90.00
Space group I-42d (No. 122)
Unique sites:
Rb: 0.2188 0.7500 0.1250 (multiplicity 8)
Mg: 0.0000 0.0000 0.5000 (multiplicity 4)
I: 0.0000 0.0000 0.0000 (multiplicity 4)

---

What did the second record say?
Structure and simulated PXRD pattern of MgPtIO6 (a DFT-relaxed cell (GGA-PBE, Alexandria); CuKα).

Largest 6 diffraction maxima, by angle, 5 to 70 degrees two-theta:
19.4 deg, intensity 59, (1 0 0); 19.5 deg, intensity 91, (0 0 2); 27.7 deg, intensity 91, (1 0 2); 33.9 deg, intensity 66, (1 1 0); 39.4 deg, intensity 100, (1 1 2); 53.2 deg, intensity 64, (1 1 4)

Cell and atoms:
a b c (Å): 5.2849 5.2849 9.0845
angles (deg): 90.00 90.00 120.00
Space group P-31c (No. 163)
Unique sites:
Mg: 0.0000 0.0000 0.0000 (multiplicity 2)
Pt: 0.3333 0.6667 0.2500 (multiplicity 2)
I: 0.3333 0.6667 0.7500 (multiplicity 2)
O: 0.0026 0.3491 0.1307 (multiplicity 12)